This entry pairs a crystal structure of CePaMoOs with its calculated X-ray diffraction stick pattern. Radiation: Cu Kα. Structure: a crystal structure in Alexandria, relaxed with PBE.

The 9 most intense peaks (2θ = 5–70°), most intense first:
- 2θ = 36.62°, I 100.0
- 2θ = 65.94°, I 36.3
- 2θ = 52.76°, I 17.7
- 2θ = 22.19°, I 8.1
- 2θ = 43.24°, I 4.7
- 2θ = 57.92°, I 2.1
- 2θ = 25.67°, I 1.9
- 2θ = 59.58°, I 0.8
- 2θ = 45.26°, I 0.6

Unit cell a=4.907 b=4.907 c=4.907 alpha=60.00 beta=60.00 gamma=60.00
Fractional positions:
Ce 0.000 0.000 0.000
Pa 0.500 0.500 0.500
Mo 0.750 0.750 0.750
Os 0.250 0.250 0.250

***

This entry pairs a crystal structure of CePmMo4 with its calculated X-ray diffraction stick pattern. Radiation: Cu Kα. Structure: a crystal structure in Alexandria, relaxed with PBE.

The 7 most intense peaks (2θ = 5–70°), most intense first:
- 2θ = 37.98°, I 100.0
- 2θ = 32.22°, I 40.4
- 2θ = 61.29°, I 32.1
- 2θ = 39.73°, I 28.3
- 2θ = 67.41°, I 26.0
- 2θ = 57.45°, I 15.5
- 2θ = 46.21°, I 0.9

Unit cell a=5.557 b=5.557 c=5.557 alpha=60.00 beta=60.00 gamma=60.00
Fractional positions:
Ce 0.000 0.000 0.000
Pm 0.750 0.750 0.750
Mo 0.375 0.375 0.375
Mo 0.375 0.375 0.876
Mo 0.375 0.876 0.375
Mo 0.876 0.375 0.375

***

This entry pairs a crystal structure of CeMoRu2 with its calculated X-ray diffraction stick pattern. Radiation: Cu Kα. Structure: a crystal structure in Alexandria, relaxed with PBE.

The 12 most intense peaks (2θ = 5–70°), most intense first:
- 2θ = 39.25°, I 100.0
- 2θ = 38.53°, I 97.6
- 2θ = 56.18°, I 31.9
- 2θ = 69.23°, I 13.4
- 2θ = 23.67°, I 7.2
- 2θ = 45.41°, I 6.7
- 2θ = 61.55°, I 2.7
- 2θ = 27.23°, I 1.6
- 2θ = 46.35°, I 1.3
- 2θ = 63.02°, I 1.2
- 2θ = 60.78°, I 1.1
- 2θ = 62.31°, I 1.1

Unit cell a=4.674 b=4.674 c=4.674 alpha=58.82 beta=58.82 gamma=58.82
Fractional positions:
Ce 0.000 0.000 0.000
Mo 0.500 0.500 0.500
Ru 0.234 0.234 0.234
Ru 0.766 0.766 0.766

***

This entry pairs a crystal structure of CeScMoRu with its calculated X-ray diffraction stick pattern. Radiation: Cu Kα. Structure: a crystal structure in Alexandria, relaxed with PBE.

The 6 most intense peaks (2θ = 5–70°), most intense first:
- 2θ = 38.03°, I 100.0
- 2θ = 68.71°, I 33.6
- 2θ = 54.87°, I 16.8
- 2θ = 23.02°, I 14.4
- 2θ = 44.92°, I 7.8
- 2θ = 60.28°, I 3.4

Unit cell a=4.733 b=4.733 c=4.733 alpha=60.00 beta=60.00 gamma=60.00
Fractional positions:
Ce 0.000 0.000 0.000
Sc 0.500 0.500 0.500
Mo 0.750 0.750 0.750
Ru 0.250 0.250 0.250

***

This entry pairs a crystal structure of CeSbMo with its calculated X-ray diffraction stick pattern. Radiation: Cu Kα. Structure: a crystal structure in Alexandria, relaxed with PBE.

The 12 most intense peaks (2θ = 5–70°), most intense first:
- 2θ = 34.98°, I 100.0
- 2θ = 61.28°, I 24.5
- 2θ = 48.59°, I 23.5
- 2θ = 38.01°, I 23.0
- 2θ = 29.24°, I 20.3
- 2θ = 63.55°, I 20.2
- 2θ = 25.22°, I 13.8
- 2θ = 33.83°, I 13.5
- 2θ = 34.03°, I 7.9
- 2θ = 66.81°, I 7.3
- 2θ = 42.75°, I 7.2
- 2θ = 42.91°, I 7.0

Unit cell a=3.747 b=3.747 c=10.538 alpha=90.00 beta=90.00 gamma=90.00
Fractional positions:
Ce 0.250 0.250 0.244
Ce 0.750 0.750 0.756
Sb 0.250 0.250 0.583
Sb 0.750 0.750 0.417
Mo 0.250 0.750 0.000
Mo 0.750 0.250 0.000

***

This entry pairs a crystal structure of CeMo6Se8 with its calculated X-ray diffraction stick pattern. Radiation: Cu Kα. Structure: a crystal structure in Alexandria, relaxed with PBE.

The 12 most intense peaks (2θ = 5–70°), most intense first:
- 2θ = 44.25°, I 100.0
- 2θ = 40.12°, I 72.0
- 2θ = 13.02°, I 57.1
- 2θ = 41.75°, I 51.7
- 2θ = 32.35°, I 46.0
- 2θ = 32.57°, I 43.6
- 2θ = 39.04°, I 37.0
- 2θ = 57.56°, I 36.2
- 2θ = 29.13°, I 35.6
- 2θ = 29.60°, I 32.5
- 2θ = 68.25°, I 32.3
- 2θ = 18.27°, I 28.1

Unit cell a=6.803 b=6.803 c=6.803 alpha=88.86 beta=88.86 gamma=88.86
Fractional positions:
Ce 0.000 0.000 0.000
Mo 0.235 0.424 0.560
Mo 0.424 0.560 0.235
Mo 0.440 0.765 0.576
Mo 0.560 0.235 0.424
Mo 0.576 0.440 0.765
Mo 0.765 0.576 0.440
Se 0.122 0.755 0.373
Se 0.240 0.240 0.240
Se 0.245 0.627 0.878
Se 0.373 0.122 0.755
Se 0.627 0.878 0.245
Se 0.755 0.373 0.122
Se 0.760 0.760 0.760
Se 0.878 0.245 0.627

***

This entry pairs a crystal structure of CeTmMo with its calculated X-ray diffraction stick pattern. Radiation: Cu Kα. Structure: a crystal structure in Alexandria, relaxed with PBE.

The 12 most intense peaks (2θ = 5–70°), most intense first:
- 2θ = 32.17°, I 100.0
- 2θ = 26.87°, I 44.7
- 2θ = 38.81°, I 33.2
- 2θ = 39.85°, I 22.7
- 2θ = 35.84°, I 20.5
- 2θ = 52.64°, I 19.5
- 2θ = 35.19°, I 18.3
- 2θ = 34.13°, I 17.7
- 2θ = 53.85°, I 12.6
- 2θ = 66.11°, I 12.4
- 2θ = 29.55°, I 11.4
- 2θ = 56.88°, I 11.2

Unit cell a=6.528 b=6.528 c=5.516 alpha=97.27 beta=97.27 gamma=41.64
Fractional positions:
Ce 0.091 0.091 0.289
Ce 0.909 0.909 0.711
Tm 0.369 0.369 0.151
Tm 0.631 0.631 0.849
Mo 0.236 0.236 0.625
Mo 0.764 0.764 0.375

***

This entry pairs a crystal structure of Ce2N with its calculated X-ray diffraction stick pattern. Radiation: Cu Kα. Structure: a crystal structure in Alexandria, relaxed with PBE.

The 8 most intense peaks (2θ = 5–70°), most intense first:
- 2θ = 31.25°, I 100.0
- 2θ = 35.67°, I 42.8
- 2θ = 61.33°, I 29.8
- 2θ = 52.60°, I 27.7
- 2θ = 37.34°, I 18.8
- 2θ = 51.34°, I 14.9
- 2θ = 65.18°, I 14.3
- 2θ = 63.57°, I 13.4

Unit cell a=3.560 b=3.560 c=4.816 alpha=90.00 beta=90.00 gamma=90.00
Fractional positions:
Ce 0.000 0.000 0.000
Ce 0.500 0.500 0.500
N 0.000 0.000 0.500

***

This entry pairs a crystal structure of NaCeN with its calculated X-ray diffraction stick pattern. Radiation: Cu Kα. Structure: a crystal structure in Alexandria, relaxed with PBE.

The 12 most intense peaks (2θ = 5–70°), most intense first:
- 2θ = 7.02°, I 100.0
- 2θ = 28.65°, I 42.5
- 2θ = 28.94°, I 35.0
- 2θ = 21.16°, I 32.9
- 2θ = 34.40°, I 31.0
- 2θ = 37.33°, I 30.1
- 2θ = 14.06°, I 23.1
- 2θ = 38.95°, I 21.7
- 2θ = 50.56°, I 19.5
- 2θ = 33.11°, I 18.0
- 2θ = 28.34°, I 15.1
- 2θ = 55.40°, I 14.4

Unit cell a=3.610 b=3.610 c=12.767 alpha=98.14 beta=98.14 gamma=60.02
Fractional positions:
Na 0.000 0.000 0.000
Na 0.743 0.743 0.256
Ce 0.150 0.150 0.475
Ce 0.260 0.260 0.781
N 0.458 0.458 0.400
N 0.618 0.618 0.856

***

This entry pairs a crystal structure of Na2CeWN4 with its calculated X-ray diffraction stick pattern. Radiation: Cu Kα. Structure: a crystal structure in Alexandria, relaxed with PBE.

The 12 most intense peaks (2θ = 5–70°), most intense first:
- 2θ = 21.11°, I 100.0
- 2θ = 32.81°, I 84.3
- 2θ = 12.66°, I 64.3
- 2θ = 30.69°, I 59.0
- 2θ = 27.95°, I 46.4
- 2θ = 24.82°, I 43.8
- 2θ = 34.04°, I 40.0
- 2θ = 58.83°, I 39.5
- 2θ = 39.86°, I 37.1
- 2θ = 46.46°, I 31.8
- 2θ = 44.60°, I 21.3
- 2θ = 42.58°, I 18.5

Unit cell a=7.175 b=6.992 c=5.268 alpha=90.00 beta=90.00 gamma=90.00
Fractional positions:
Na 0.246 0.148 0.000
Na 0.254 0.852 0.500
Na 0.746 0.852 0.500
Na 0.754 0.148 0.000
Ce 0.000 0.359 0.500
Ce 0.500 0.641 0.000
W 0.000 0.675 0.040
W 0.500 0.325 0.540
N 0.000 0.413 0.955
N 0.000 0.658 0.391
N 0.229 0.801 0.959
N 0.271 0.199 0.459
N 0.500 0.342 0.891
N 0.500 0.587 0.455
N 0.729 0.199 0.459
N 0.771 0.801 0.959

***

This entry pairs a crystal structure of Ce2SmNbN4 with its calculated X-ray diffraction stick pattern. Radiation: Cu Kα. Structure: a crystal structure in Alexandria, relaxed with PBE.

The 12 most intense peaks (2θ = 5–70°), most intense first:
- 2θ = 36.90°, I 100.0
- 2θ = 31.71°, I 66.9
- 2θ = 31.92°, I 65.4
- 2θ = 53.19°, I 44.7
- 2θ = 63.46°, I 28.9
- 2θ = 63.11°, I 19.8
- 2θ = 52.88°, I 11.4
- 2θ = 66.24°, I 11.2
- 2θ = 53.44°, I 11.1
- 2θ = 66.73°, I 11.1
- 2θ = 63.29°, I 9.8
- 2θ = 15.71°, I 2.0

Unit cell a=5.971 b=3.429 c=5.977 alpha=90.00 beta=109.14 gamma=90.00
Fractional positions:
Ce 0.000 0.000 0.000
Ce 0.500 0.500 0.000
Sm 0.000 0.500 0.500
Nb 0.500 0.000 0.500
N 0.272 0.000 0.737
N 0.276 0.500 0.272
N 0.724 0.500 0.728
N 0.728 0.000 0.263

***

This entry pairs a crystal structure of CeNd3N3 with its calculated X-ray diffraction stick pattern. Radiation: Cu Kα. Structure: a crystal structure in Alexandria, relaxed with PBE.

The 12 most intense peaks (2θ = 5–70°), most intense first:
- 2θ = 29.87°, I 100.0
- 2θ = 28.11°, I 57.5
- 2θ = 29.06°, I 51.3
- 2θ = 29.37°, I 51.1
- 2θ = 35.22°, I 49.4
- 2θ = 37.19°, I 36.6
- 2θ = 52.45°, I 19.9
- 2θ = 47.79°, I 16.6
- 2θ = 54.98°, I 16.5
- 2θ = 47.02°, I 15.0
- 2θ = 52.13°, I 14.3
- 2θ = 57.38°, I 13.6

Unit cell a=6.499 b=6.499 c=7.747 alpha=97.19 beta=97.19 gamma=108.13
Fractional positions:
Ce 0.198 0.198 0.198
Ce 0.802 0.802 0.802
Nd 0.173 0.173 0.651
Nd 0.309 0.691 0.500
Nd 0.333 0.667 0.000
Nd 0.667 0.333 0.000
Nd 0.691 0.309 0.500
Nd 0.827 0.827 0.349
N 0.022 0.292 0.397
N 0.292 0.022 0.397
N 0.494 0.494 0.756
N 0.506 0.506 0.244
N 0.708 0.978 0.603
N 0.978 0.708 0.603

***

Repeat the seventh record exactly.
This entry pairs a crystal structure of CeTmMo with its calculated X-ray diffraction stick pattern. Radiation: Cu Kα. Structure: a crystal structure in Alexandria, relaxed with PBE.

The 12 most intense peaks (2θ = 5–70°), most intense first:
- 2θ = 32.17°, I 100.0
- 2θ = 26.87°, I 44.7
- 2θ = 38.81°, I 33.2
- 2θ = 39.85°, I 22.7
- 2θ = 35.84°, I 20.5
- 2θ = 52.64°, I 19.5
- 2θ = 35.19°, I 18.3
- 2θ = 34.13°, I 17.7
- 2θ = 53.85°, I 12.6
- 2θ = 66.11°, I 12.4
- 2θ = 29.55°, I 11.4
- 2θ = 56.88°, I 11.2

Unit cell a=6.528 b=6.528 c=5.516 alpha=97.27 beta=97.27 gamma=41.64
Fractional positions:
Ce 0.091 0.091 0.289
Ce 0.909 0.909 0.711
Tm 0.369 0.369 0.151
Tm 0.631 0.631 0.849
Mo 0.236 0.236 0.625
Mo 0.764 0.764 0.375